Starting from a cell relaxed with GGA-PBE, the powder X-ray diffraction pattern of Sc3Pb2 was computed for Cu Kα.

Atomic structure:
```
data_Sc3Pb2
_space_group_name_H-M_alt 'F d d 2'
_space_group_IT_number 43
_space_group_name_Hall 'F 2 -2d'
_cell_length_a 10.618
_cell_length_b 14.830
_cell_length_c 6.169
_cell_angle_alpha 90.00
_cell_angle_beta 90.00
_cell_angle_gamma 90.00
loop_
_atom_site_label
_atom_site_type_symbol
_atom_site_fract_x
_atom_site_fract_y
_atom_site_fract_z
Sc1 Sc 0.000 0.000 0.000
Sc2 Sc 0.058 0.401 0.020
Pb1 Pb 0.036 0.300 0.558
```

Main lines, by angle (10 to 80 degrees two-theta):
2θ 17.7, d 5.019, rel. 24, hkl 1 1 1
2θ 20.6, d 4.317, rel. 67, hkl 2 2 0
2θ 24.6, d 3.626, rel. 56, hkl 1 3 1
2θ 29.7, d 3.006, rel. 31, hkl 3 1 1
2θ 31.4, d 2.848, rel. 35, hkl 0 2 2
2θ 33.6, d 2.667, rel. 85, hkl 2 0 2
2θ 34.4, d 2.608, rel. 40, hkl 3 3 1
2θ 34.6, d 2.592, rel. 100, hkl 1 5 1
2θ 35.9, d 2.499, rel. 25, hkl 4 2 0
2θ 42.4, d 2.133, rel. 34, hkl 3 5 1